The following is a calculated XRD peak list of Mn3Nb2Cr3O16. It was derived from the GGA+U geometry in Alexandria, using CuKα.

Peak list (8 most intense, 10° ≤ 2θ ≤ 80°, by intensity)
| d (Å) | Position (°2θ) | intensity |
| --- | --- | --- |
| 4.501 | 19.73 | 100 |
| 4.477 | 19.83 | 93 |
| 2.491 | 36.06 | 85 |
| 4.655 | 19.07 | 69 |
| 4.534 | 19.58 | 51 |
| 2.468 | 36.40 | 49 |
| 4.455 | 19.93 | 46 |
| 2.478 | 36.25 | 37 |

```
24
Lattice="5.899 0.000 0.000 2.911 5.144 0.000 0.015 0.157 9.310" Properties=species:S:1:pos:R:3 pbc="T T T"
Mn 0.000 0.000 0.000
Mn 1.536 1.018 4.692
Mn 4.445 1.013 4.691
Nb 2.983 3.591 2.697
Nb 2.986 0.140 7.342
Cr 1.524 2.579 0.122
Cr 4.410 2.774 9.307
Cr 5.921 3.620 4.684
O 1.522 2.717 3.622
O 2.876 3.638 8.357
O 1.531 1.020 8.299
O 2.913 2.023 1.202
O 4.189 4.271 1.127
O 4.601 4.623 5.814
O 2.992 1.687 5.772
O 2.990 0.216 3.708
O 4.435 2.710 3.601
O 4.450 1.028 8.266
O 5.939 3.621 8.256
O 7.217 4.629 5.812
O 5.935 1.847 5.583
O 5.938 1.731 0.871
O 7.547 4.254 1.157
O 5.940 0.157 3.635
```